Record 1
Li3BiS3: calculated XRD peak list (Cu Kα), based on DFT lattice parameters and positions (PBE).
Kinematic intensities with the Lorentz-polarization factor, no thermal factor.

Largest 10 diffraction maxima, by angle, 2θ from 10° to 90°:
2θ/deg  Rel. int.
16.18  100
23.67  50
28.21  27
28.80  20
32.68  27
33.21  70
40.75  17
43.71  21
47.29  16
51.40  21

Cell and atoms:
Lattice parameters (Å, degrees): 6.8907 6.8907 6.8907 105.35 105.35 105.35
Fractional coordinates of all 14 atoms:
Li  0.0584  0.2855  0.6560
Li  0.1560  0.7855  0.5584
Li  0.2855  0.6560  0.0584
Li  0.5584  0.1560  0.7855
Li  0.6560  0.0584  0.2855
Li  0.7855  0.5584  0.1560
Bi  0.2419  0.2419  0.2419
Bi  0.7419  0.7419  0.7419
S  0.3287  0.9746  0.9638
S  0.4638  0.4746  0.8287
S  0.4746  0.8287  0.4638
S  0.8287  0.4638  0.4746
S  0.9638  0.3287  0.9746
S  0.9746  0.9638  0.3287

Record 2
La2Pm2SmEr2: calculated XRD peak list (Cu Kα), based on DFT lattice parameters and positions (PBE).
Kinematic intensities with the Lorentz-polarization factor, no thermal factor.

Largest 10 diffraction maxima, by angle, 2θ from 10° to 90°:
2θ/deg  Rel. int.
30.04  100
30.15  99
34.80  34
34.93  67
50.19  48
59.41  14
59.61  43
59.74  29
62.43  12
84.26  14

Cell and atoms:
Lattice parameters (Å, degrees): 11.4746 5.1356 8.1623 90.00 98.04 90.00
Fractional coordinates of all 14 atoms:
La  0.1420  0.0000  0.4263
La  0.3580  0.5000  0.5737
La  0.6420  0.5000  0.4263
La  0.8580  0.0000  0.5737
Pm  0.2151  0.5000  0.1404
Pm  0.2849  0.0000  0.8596
Pm  0.7151  0.0000  0.1404
Pm  0.7849  0.5000  0.8596
Sm  0.0000  0.0000  0.0000
Sm  0.5000  0.5000  0.0000
Er  0.0708  0.5000  0.7159
Er  0.4292  0.0000  0.2841
Er  0.5708  0.0000  0.7159
Er  0.9292  0.5000  0.2841

Record 3
Na2CrCdHg: calculated XRD peak list (Cu Kα), based on DFT lattice parameters and positions (PBE).
Kinematic intensities with the Lorentz-polarization factor, no thermal factor.

Largest 10 diffraction maxima, by angle, 2θ from 10° to 90°:
2θ/deg  Rel. int.
15.65  100
22.20  70
27.88  28
31.60  50
33.67  21
35.44  28
37.33  25
40.70  29
46.84  33
49.69  22

Cell and atoms:
Lattice parameters (Å, degrees): 5.6635 5.6635 5.3237 90.00 90.00 90.00
Fractional coordinates of all 5 atoms:
Na  0.0000  0.5000  0.0000
Na  0.5000  0.0000  0.0000
Cr  0.0000  0.0000  0.5000
Cd  0.5000  0.5000  0.0000
Hg  0.5000  0.5000  0.5000